1.
Computed PXRD pattern of UMn5As3 for λ = 1.5418 Å (Cu Kα), from the GGA-PBE geometry in Alexandria.
No peak broadening, texture or thermal motion is included.

Top 12 peaks for 5 to 70 degrees two-theta, most intense first:
two_theta, d_spacing, Rel. int.
35.94, 2.498, 100.0
33.88, 2.646, 85.0
39.36, 2.289, 68.1
29.59, 3.019, 45.9
49.87, 1.829, 43.9
28.67, 3.113, 41.1
32.63, 2.744, 41.0
29.44, 3.034, 38.5
49.74, 1.833, 32.7
16.01, 5.535, 30.6
46.61, 1.949, 29.3
40.02, 2.253, 26.5

Cell lengths 6.4898, 6.4898, 12.0842 Å; angles 90.00, 90.00, 147.27 degrees
Element x y z (fractional)
U: 0.1490 0.8510 0.7500
U: 0.8510 0.1490 0.2500
Mn: 0.0000 0.0000 0.0000
Mn: 0.0000 0.0000 0.5000
Mn: 0.1925 0.8075 0.0593
Mn: 0.1925 0.8075 0.4407
Mn: 0.4431 0.5569 0.6412
Mn: 0.4431 0.5569 0.8588
Mn: 0.5569 0.4431 0.1412
Mn: 0.5569 0.4431 0.3588
Mn: 0.8075 0.1925 0.5593
Mn: 0.8075 0.1925 0.9407
As: 0.1324 0.8676 0.2500
As: 0.3801 0.6199 0.0560
As: 0.3801 0.6199 0.4440
As: 0.6199 0.3801 0.5560
As: 0.6199 0.3801 0.9440
As: 0.8676 0.1324 0.7500

2.
Computed PXRD pattern of MnV2As2 for λ = 1.5418 Å (Cu Kα), from the GGA-PBE geometry in Alexandria.
No peak broadening, texture or thermal motion is included.

Top 12 peaks for 5 to 70 degrees two-theta, most intense first:
two_theta, d_spacing, Rel. int.
40.98, 2.202, 100.0
42.47, 2.129, 46.0
57.00, 1.616, 17.5
27.61, 3.230, 11.6
51.41, 1.777, 10.0
63.89, 1.457, 8.8
54.53, 1.683, 6.5
58.14, 1.587, 6.5
18.64, 4.760, 6.0
29.68, 3.010, 5.6
37.80, 2.380, 5.1
61.62, 1.505, 4.8

Cell lengths 6.7312, 6.7312, 3.2302 Å; angles 90.00, 90.00, 90.00 degrees
Element x y z (fractional)
Mn: 0.0000 0.0000 0.0000
Mn: 0.5000 0.5000 0.0000
V: 0.1420 0.3580 0.5000
V: 0.3580 0.8580 0.5000
V: 0.6420 0.1420 0.5000
V: 0.8580 0.6420 0.5000
As: 0.1528 0.6528 0.0000
As: 0.3472 0.1528 0.0000
As: 0.6528 0.8472 0.0000
As: 0.8472 0.3472 0.0000